1.
Calculated powder diffractogram of Li3Mn2Si2O8 for copper Kα, from a structure optimized by DFT (PBE+U).

Crystal structure
Lattice parameters (Å, degrees): 5.0934 5.4521 6.3414 91.86 90.19 91.21
Space group P1 (No. 1)
Unique sites:
Li 0.0000 0.0000 0.0000 [1 per cell]
Li 0.0032 0.0033 0.5001 [1 per cell]
Li 0.5280 0.6619 0.5067 [1 per cell]
Mn 0.0305 0.5100 0.7642 [1 per cell]
Mn 0.4908 0.1556 0.2461 [1 per cell]
Si 0.0125 0.4994 0.2601 [1 per cell]
Si 0.5293 0.1803 0.7458 [1 per cell]
O 0.3364 0.4634 0.2796 [1 per cell]
O 0.4011 0.0622 0.9632 [1 per cell]
O 0.4216 0.0226 0.5259 [1 per cell]
O 0.4311 0.4600 0.7327 [1 per cell]
O 0.8505 0.1551 0.7526 [1 per cell]
O 0.8908 0.2110 0.2521 [1 per cell]
O 0.9164 0.6521 0.4739 [1 per cell]
O 0.9484 0.6562 0.0538 [1 per cell]

Largest 10 diffraction maxima, in order of rising 2θ, 15° ≤ 2θ ≤ 90°:
2θ 16.27, I = 86.5; 2θ 23.66, I = 83.8; 2θ 24.18, I = 100.0; 2θ 28.16, I = 61.9; 2θ 32.21, I = 42.8; 2θ 32.88, I = 41.6; 2θ 33.16, I = 30.9; 2θ 35.25, I = 69.3; 2θ 57.68, I = 19.6; 2θ 58.23, I = 19.7



2.
Calculated powder diffractogram of Ca2MoO5 for copper Kα, from a structure optimized by DFT (PBE+U).

Crystal structure
Lattice parameters (Å, degrees): 16.1753 5.1514 5.6977 90.00 90.00 90.00
Space group Ima2 (No. 46)
Unique sites:
Ca 0.1532 0.0712 0.0000 [8 per cell]
Mo 0.0000 0.0000 0.5173 [4 per cell]
O 0.0463 0.2247 0.2915 [8 per cell]
O 0.0987 0.6476 0.1075 [8 per cell]
O 0.2500 0.2286 0.2596 [4 per cell]

Largest 10 diffraction maxima, in order of rising 2θ, 15° ≤ 2θ ≤ 90°:
2θ 18.07, I = 12.5; 2θ 25.79, I = 100.0; 2θ 31.40, I = 18.4; 2θ 32.23, I = 66.6; 2θ 46.37, I = 18.7; 2θ 47.59, I = 18.2; 2θ 48.94, I = 21.2; 2θ 52.59, I = 11.0; 2θ 56.43, I = 14.7; 2θ 62.34, I = 14.9



3.
Calculated powder diffractogram of LiMn2O3 for copper Kα, from a structure optimized by DFT (PBE+U).

Crystal structure
Lattice parameters (Å, degrees): 5.2354 5.2608 10.1047 93.92 93.17 116.92
Space group P1 (No. 1)
Unique sites:
Li 0.0000 0.0000 0.0000 [1 per cell]
Li 0.1587 0.8408 0.5008 [1 per cell]
Li 0.6600 0.3251 0.9968 [1 per cell]
Li 0.8295 0.1439 0.4979 [1 per cell]
Mn 0.0758 0.4083 0.2494 [1 per cell]
Mn 0.2413 0.2337 0.7511 [1 per cell]
Mn 0.3403 0.6659 0.9966 [1 per cell]
Mn 0.4129 0.0773 0.2489 [1 per cell]
Mn 0.4933 0.4941 0.5010 [1 per cell]
Mn 0.5823 0.9090 0.7494 [1 per cell]
Mn 0.7502 0.7466 0.2483 [1 per cell]
Mn 0.9105 0.5725 0.7503 [1 per cell]
O 0.0216 0.6785 0.1367 [1 per cell]
O 0.1196 0.1487 0.3693 [1 per cell]
O 0.1835 0.5058 0.6385 [1 per cell]
O 0.2847 0.9692 0.8723 [1 per cell]
O 0.3458 0.3706 0.1312 [1 per cell]
O 0.4841 0.7910 0.3697 [1 per cell]
O 0.5054 0.1939 0.6295 [1 per cell]
O 0.6372 0.6093 0.8700 [1 per cell]
O 0.7058 0.0059 0.1276 [1 per cell]
O 0.8062 0.4767 0.3606 [1 per cell]
O 0.8690 0.8369 0.6286 [1 per cell]
O 0.9744 0.3014 0.8634 [1 per cell]

Largest 10 diffraction maxima, in order of rising 2θ, 15° ≤ 2θ ≤ 90°:
2θ 17.68, I = 93.5; 2θ 32.86, I = 23.1; 2θ 35.58, I = 23.9; 2θ 35.96, I = 45.1; 2θ 39.44, I = 100.0; 2θ 42.45, I = 76.6; 2θ 42.85, I = 74.7; 2θ 59.17, I = 24.3; 2θ 59.50, I = 48.5; 2θ 59.78, I = 24.1



4.
Calculated powder diffractogram of FeOF for copper Kα, from a structure optimized by DFT (PBE+U).

Crystal structure
Lattice parameters (Å, degrees): 9.5187 3.0987 14.2422 90.00 90.36 90.00
Space group Pm (No. 6)
Unique sites:
Fe 0.0000 0.0000 0.0000 [1 per cell]
Fe 0.0023 0.0000 0.6544 [1 per cell]
Fe 0.0086 0.0000 0.3246 [1 per cell]
Fe 0.2233 0.5000 0.1551 [1 per cell]
Fe 0.2462 0.5000 0.8052 [1 per cell]
Fe 0.2520 0.5000 0.4703 [1 per cell]
Fe 0.4961 0.0000 0.3275 [1 per cell]
Fe 0.5004 0.0000 0.6644 [1 per cell]
Fe 0.5160 0.0000 0.9881 [1 per cell]
Fe 0.7271 0.5000 0.8211 [1 per cell]
Fe 0.7501 0.5000 0.1401 [1 per cell]
Fe 0.7862 0.5000 0.4884 [1 per cell]
O 0.0982 0.5000 0.2567 [1 per cell]
O 0.1478 0.0000 0.7516 [1 per cell]
O 0.1566 0.0000 0.0863 [1 per cell]
O 0.1582 0.0000 0.4254 [1 per cell]
O 0.4052 0.5000 0.7186 [1 per cell]
O 0.4119 0.5000 0.3846 [1 per cell]
O 0.5955 0.5000 0.9229 [1 per cell]
O 0.6479 0.0000 0.0929 [1 per cell]
O 0.6600 0.0000 0.7521 [1 per cell]
O 0.8599 0.0000 0.5589 [1 per cell]
O 0.9037 0.5000 0.0497 [1 per cell]
O 0.9054 0.5000 0.3853 [1 per cell]
F 0.0997 0.5000 0.9192 [1 per cell]
F 0.1061 0.5000 0.5905 [1 per cell]
F 0.3418 0.0000 0.8864 [1 per cell]
F 0.3527 0.0000 0.5521 [1 per cell]
F 0.3563 0.0000 0.2180 [1 per cell]
F 0.4018 0.5000 0.0523 [1 per cell]
F 0.5985 0.5000 0.5848 [1 per cell]
F 0.6034 0.5000 0.2593 [1 per cell]
F 0.6597 0.0000 0.4237 [1 per cell]
F 0.8437 0.0000 0.2182 [1 per cell]
F 0.8532 0.0000 0.8828 [1 per cell]
F 0.9069 0.5000 0.7224 [1 per cell]

Largest 10 diffraction maxima, in order of rising 2θ, 15° ≤ 2θ ≤ 90°:
2θ 26.43, I = 92.7; 2θ 26.61, I = 90.7; 2θ 34.55, I = 100.0; 2θ 52.08, I = 53.8; 2θ 52.25, I = 26.7; 2θ 52.31, I = 26.4; 2θ 59.68, I = 17.9; 2θ 66.18, I = 18.2; 2θ 66.33, I = 18.2; 2θ 66.45, I = 22.9



5.
Calculated powder diffractogram of Sr5Mn5O13 for copper Kα, from a structure optimized by DFT (PBE+U).

Crystal structure
Lattice parameters (Å, degrees): 17.5059 7.7668 8.7384 90.00 90.13 90.00
Space group Cm (No. 8)
Unique sites:
Sr 0.0000 0.2494 0.0000 [4 per cell]
Sr 0.1081 0.2495 0.3852 [4 per cell]
Sr 0.2175 0.2496 0.7715 [4 per cell]
Sr 0.3009 0.2499 0.1680 [4 per cell]
Sr 0.4164 0.2498 0.6038 [4 per cell]
Mn 0.0590 0.0000 0.6906 [2 per cell]
Mn 0.0589 0.5000 0.6914 [2 per cell]
Mn 0.1584 0.0000 0.0802 [2 per cell]
Mn 0.1584 0.5000 0.0814 [2 per cell]
Mn 0.2611 0.0000 0.4859 [2 per cell]
Mn 0.2611 0.5000 0.4861 [2 per cell]
Mn 0.3589 0.0000 0.8858 [2 per cell]
Mn 0.3586 0.5000 0.8856 [2 per cell]
Mn 0.4563 0.5000 0.2848 [2 per cell]
Mn 0.4567 0.0000 0.2849 [2 per cell]
O 0.0592 0.5000 0.1709 [2 per cell]
O 0.0600 0.0000 0.1713 [2 per cell]
O 0.0645 0.2497 0.7196 [4 per cell]
O 0.1525 0.2496 0.0521 [4 per cell]
O 0.1574 0.0000 0.6028 [2 per cell]
O 0.1576 0.5000 0.5997 [2 per cell]
O 0.2152 0.0000 0.2890 [2 per cell]
O 0.2169 0.5000 0.2895 [2 per cell]
O 0.2525 0.5000 0.9558 [2 per cell]
O 0.2532 0.0000 0.9578 [2 per cell]
O 0.2788 0.2511 0.4724 [4 per cell]
O 0.3229 0.0000 0.6756 [2 per cell]
O 0.3228 0.5000 0.6744 [2 per cell]
O 0.3590 0.2500 0.8862 [4 per cell]
O 0.3931 0.0000 0.1003 [2 per cell]
O 0.3943 0.5000 0.0982 [2 per cell]
O 0.4430 0.2499 0.2946 [4 per cell]
O 0.4642 0.0000 0.8159 [2 per cell]
O 0.4658 0.5000 0.8159 [2 per cell]
O 0.4991 0.0000 0.4828 [2 per cell]
O 0.4994 0.5000 0.4826 [2 per cell]

Largest 10 diffraction maxima, in order of rising 2θ, 15° ≤ 2θ ≤ 90°:
2θ 32.37, I = 54.4; 2θ 32.49, I = 100.0; 2θ 40.02, I = 17.5; 2θ 46.37, I = 16.7; 2θ 46.50, I = 16.3; 2θ 46.79, I = 18.6; 2θ 57.77, I = 18.5; 2θ 57.86, I = 18.3; 2θ 58.04, I = 19.7; 2θ 67.99, I = 9.5



6.
Calculated powder diffractogram of Ti3MnFe2P6O24 for copper Kα, from a structure optimized by DFT (PBE+U).

Crystal structure
Lattice parameters (Å, degrees): 8.7245 8.7245 20.8033 90.00 90.00 120.00
Space group R3 (No. 146, hexagonal axes)
Unique sites:
Ti 0.0000 0.0000 0.0000 [3 per cell]
Ti 0.0000 0.0000 0.2118 [3 per cell]
Ti 0.0000 0.0000 0.7088 [3 per cell]
Mn 0.0000 0.0000 0.4979 [3 per cell]
Fe 0.0000 0.0000 0.3577 [3 per cell]
Fe 0.0000 0.0000 0.8561 [3 per cell]
P 0.0362 0.3682 0.2705 [9 per cell]
P 0.0437 0.6713 0.7711 [9 per cell]
O 0.0027 0.1890 0.6639 [9 per cell]
O 0.0034 0.8138 0.1655 [9 per cell]
O 0.0163 0.1808 0.2803 [9 per cell]
O 0.0243 0.8388 0.7793 [9 per cell]
O 0.1243 0.4542 0.2088 [9 per cell]
O 0.1594 0.6901 0.0920 [9 per cell]
O 0.1627 0.6919 0.7129 [9 per cell]
O 0.1643 0.4886 0.6021 [9 per cell]

Largest 10 diffraction maxima, in order of rising 2θ, 15° ≤ 2θ ≤ 90°:
2θ 20.36, I = 68.3; 2θ 24.10, I = 100.0; 2θ 25.08, I = 17.3; 2θ 31.62, I = 14.6; 2θ 33.00, I = 64.4; 2θ 35.65, I = 32.4; 2θ 47.28, I = 27.1; 2θ 49.36, I = 24.1; 2θ 55.75, I = 19.8; 2θ 62.36, I = 16.7



7.
Calculated powder diffractogram of KLiTm2Mo4O16 for copper Kα, from a structure optimized by DFT (PBE+U).

Crystal structure
Lattice parameters (Å, degrees): 5.2232 12.6506 19.6872 90.00 93.73 90.00
Space group C2/c (No. 15)
Unique sites:
K 0.0000 0.0301 0.2500 [4 per cell]
Li 0.0000 0.3129 0.2500 [4 per cell]
Tm 0.0021 0.1471 0.4686 [8 per cell]
Mo 0.0117 0.2577 0.6458 [8 per cell]
Mo 0.0192 0.4376 0.0915 [8 per cell]
O 0.1103 0.4095 0.3298 [8 per cell]
O 0.1320 0.1388 0.8285 [8 per cell]
O 0.1676 0.3307 0.0410 [8 per cell]
O 0.1850 0.2387 0.5658 [8 per cell]
O 0.2297 0.2972 0.7133 [8 per cell]
O 0.2300 0.4509 0.6005 [8 per cell]
O 0.2365 0.0201 0.5363 [8 per cell]
O 0.2472 0.1509 0.1286 [8 per cell]

Largest 10 diffraction maxima, in order of rising 2θ, 15° ≤ 2θ ≤ 90°:
2θ 25.10, I = 34.9; 2θ 26.69, I = 52.4; 2θ 27.20, I = 33.0; 2θ 27.40, I = 26.7; 2θ 27.77, I = 35.6; 2θ 28.40, I = 100.0; 2θ 29.07, I = 31.3; 2θ 29.98, I = 26.9; 2θ 30.20, I = 45.9; 2θ 34.41, I = 31.0